1.
Calculated X-ray diffraction stick pattern
Compound: LaPm8Pt6
Radiation: copper Kα
Structure: DFT lattice parameters and positions (GGA-PBE)
Kinematic intensities with the Lorentz-polarization factor, no thermal factor.

Cell and atoms:
```
data_LaPm8Pt6
_space_group_name_H-M_alt 'P 1'
_space_group_IT_number 1
_space_group_name_Hall 'P 1'
_cell_length_a 8.107
_cell_length_b 8.107
_cell_length_c 8.107
_cell_angle_alpha 63.82
_cell_angle_beta 63.82
_cell_angle_gamma 63.82
loop_
_atom_site_label
_atom_site_type_symbol
_atom_site_fract_x
_atom_site_fract_y
_atom_site_fract_z
La1 La 0.000 0.000 0.000
Pm1 Pm 0.110 0.775 0.452
Pm2 Pm 0.225 0.548 0.890
Pm3 Pm 0.334 0.334 0.334
Pm4 Pm 0.452 0.110 0.775
Pm5 Pm 0.548 0.890 0.225
Pm6 Pm 0.666 0.666 0.666
Pm7 Pm 0.775 0.452 0.110
Pm8 Pm 0.890 0.225 0.548
Pt1 Pt 0.067 0.399 0.732
Pt2 Pt 0.268 0.933 0.601
Pt3 Pt 0.399 0.732 0.067
Pt4 Pt 0.601 0.268 0.933
Pt5 Pt 0.732 0.067 0.399
Pt6 Pt 0.933 0.601 0.268
```

Largest 6 diffraction maxima, by angle, 10 to 90 degrees two-theta:
20.73 deg, I = 22; 24.98 deg, I = 26; 34.92 deg, I = 100; 36.31 deg, I = 96; 51.26 deg, I = 34; 64.43 deg, I = 34


2.
Calculated X-ray diffraction stick pattern
Compound: LaPmSiPt
Radiation: copper Kα
Structure: DFT lattice parameters and positions (GGA-PBE)
Kinematic intensities with the Lorentz-polarization factor, no thermal factor.

Cell and atoms:
```
data_LaPmSiPt
_space_group_name_H-M_alt 'P 1'
_space_group_IT_number 1
_space_group_name_Hall 'P 1'
_cell_length_a 5.173
_cell_length_b 5.173
_cell_length_c 5.173
_cell_angle_alpha 60.00
_cell_angle_beta 60.00
_cell_angle_gamma 60.00
loop_
_atom_site_label
_atom_site_type_symbol
_atom_site_fract_x
_atom_site_fract_y
_atom_site_fract_z
La1 La 0.000 0.000 0.000
Pm1 Pm 0.500 0.500 0.500
Si1 Si 0.250 0.250 0.250
Pt1 Pt 0.750 0.750 0.750
```

Largest 6 diffraction maxima, by angle, 10 to 90 degrees two-theta:
21.03 deg, I = 24; 34.68 deg, I = 100; 40.91 deg, I = 13; 49.86 deg, I = 18; 62.16 deg, I = 37; 83.59 deg, I = 16


3.
Calculated X-ray diffraction stick pattern
Compound: La14PmPu
Radiation: copper Kα
Structure: DFT lattice parameters and positions (GGA-PBE)
Kinematic intensities with the Lorentz-polarization factor, no thermal factor.

Cell and atoms:
```
data_La14PmPu
_space_group_name_H-M_alt 'P 1'
_space_group_IT_number 1
_space_group_name_Hall 'P 1'
_cell_length_a 10.422
_cell_length_b 7.384
_cell_length_c 7.384
_cell_angle_alpha 90.06
_cell_angle_beta 90.00
_cell_angle_gamma 90.00
loop_
_atom_site_label
_atom_site_type_symbol
_atom_site_fract_x
_atom_site_fract_y
_atom_site_fract_z
La1 La 0.000 0.000 0.000
La2 La 0.000 0.007 0.492
La3 La 0.000 0.492 0.007
La4 La 0.000 0.500 0.500
La5 La 0.247 0.747 0.747
La6 La 0.256 0.255 0.745
La7 La 0.256 0.745 0.255
La8 La 0.265 0.256 0.256
La9 La 0.500 0.508 0.988
La10 La 0.500 0.988 0.508
La11 La 0.735 0.256 0.256
La12 La 0.744 0.255 0.745
La13 La 0.744 0.745 0.255
La14 La 0.753 0.747 0.747
Pm1 Pm 0.500 0.000 0.000
Pu1 Pu 0.500 0.500 0.500
```

Largest 6 diffraction maxima, by angle, 10 to 90 degrees two-theta:
29.66 deg, I = 100; 34.37 deg, I = 51; 49.40 deg, I = 36; 58.65 deg, I = 29; 58.75 deg, I = 14; 61.57 deg, I = 12


4.
Calculated X-ray diffraction stick pattern
Compound: La2Pm3Y6Pu
Radiation: copper Kα
Structure: DFT lattice parameters and positions (GGA-PBE)
Kinematic intensities with the Lorentz-polarization factor, no thermal factor.

Cell and atoms:
```
data_La2Pm3Y6Pu
_space_group_name_H-M_alt 'P 1'
_space_group_IT_number 1
_space_group_name_Hall 'P 1'
_cell_length_a 6.255
_cell_length_b 6.255
_cell_length_c 11.859
_cell_angle_alpha 95.06
_cell_angle_beta 95.06
_cell_angle_gamma 120.05
loop_
_atom_site_label
_atom_site_type_symbol
_atom_site_fract_x
_atom_site_fract_y
_atom_site_fract_z
La1 La 0.167 0.833 0.000
La2 La 0.833 0.167 0.000
Pm1 Pm 0.000 0.000 0.500
Pm2 Pm 0.333 0.667 0.500
Pm3 Pm 0.667 0.333 0.500
Y1 Y 0.089 0.417 0.751
Y2 Y 0.254 0.254 0.250
Y3 Y 0.417 0.089 0.751
Y4 Y 0.583 0.911 0.249
Y5 Y 0.746 0.746 0.750
Y6 Y 0.911 0.583 0.249
Pu1 Pu 0.500 0.500 0.000
```

Largest 6 diffraction maxima, by angle, 10 to 90 degrees two-theta:
30.35 deg, I = 100; 30.64 deg, I = 32; 35.27 deg, I = 67; 50.56 deg, I = 24; 50.93 deg, I = 23; 60.28 deg, I = 28